[1]
Starting from a cell relaxed with PBE, the powder XRD pattern of Hg4AsI2Br was calculated for Cu Ka.
Peak positions follow from Bragg's law for the DFT cell and can differ from measured ones.

Largest 6 diffraction maxima, in order of rising 2θ, 2θ = 5–70°:
d = 6.717 Å, 2θ 13.2, I = 64
d = 5.101 Å, 2θ 17.4, I = 64
d = 4.718 Å, 2θ 18.8, I = 100
d = 4.083 Å, 2θ 21.8, I = 74
d = 3.621 Å, 2θ 24.6, I = 59
d = 2.778 Å, 2θ 32.2, I = 70

Structural model:
a b c (Å): 11.8157 7.8392 8.1645
angles (deg): 90.00 90.00 90.00
Element x y z (fractional)
Hg 0.0000 0.0618 0.0000
Hg 0.0000 0.7288 0.3635
Hg 0.1538 0.3899 0.2463
Hg 0.3462 0.6101 0.7463
Hg 0.5000 0.2712 0.8635
Hg 0.5000 0.9382 0.5000
Hg 0.6538 0.6101 0.7463
Hg 0.8462 0.3899 0.2463
As 0.0000 0.1659 0.2923
As 0.5000 0.8341 0.7923
I 0.1826 0.3796 0.6832
I 0.3174 0.6204 0.1832
I 0.6826 0.6204 0.1832
I 0.8174 0.3796 0.6832
Br 0.0000 0.9197 0.7252
Br 0.5000 0.0803 0.2252

---

[2]
Starting from a cell relaxed with PBE, the powder XRD pattern of Pr7YTm3 was calculated for Cu Ka.
Peak positions follow from Bragg's law for the DFT cell and can differ from measured ones.

Largest 6 diffraction maxima, in order of rising 2θ, 2θ = 5–70°:
d = 2.969 Å, 2θ 30.1, I = 47
d = 2.872 Å, 2θ 31.1, I = 22
d = 2.800 Å, 2θ 32.0, I = 100
d = 2.794 Å, 2θ 32.0, I = 37
d = 2.064 Å, 2θ 43.9, I = 17
d = 1.679 Å, 2θ 54.7, I = 30

Structural model:
a b c (Å): 8.6154 8.6154 5.9377
angles (deg): 110.11 110.11 83.63
Element x y z (fractional)
Pr 0.0000 0.0000 0.0000
Pr 0.0974 0.5185 0.3081
Pr 0.2935 0.2935 0.7951
Pr 0.4815 0.9026 0.6919
Pr 0.5185 0.0974 0.3081
Pr 0.7065 0.7065 0.2049
Pr 0.9026 0.4815 0.6919
Y 0.0000 0.0000 0.5000
Tm 0.2950 0.7050 0.0000
Tm 0.5000 0.5000 0.5000
Tm 0.7050 0.2950 0.0000

---

[3]
Starting from a cell relaxed with PBE, the powder XRD pattern of TbH8IrPd2 was calculated for Cu Ka.
Peak positions follow from Bragg's law for the DFT cell and can differ from measured ones.

Largest 6 diffraction maxima, in order of rising 2θ, 2θ = 5–70°:
d = 3.189 Å, 2θ 28.0, I = 100
d = 2.785 Å, 2θ 32.1, I = 74
d = 2.680 Å, 2θ 33.4, I = 66
d = 2.601 Å, 2θ 34.5, I = 60
d = 2.092 Å, 2θ 43.3, I = 63
d = 2.048 Å, 2θ 44.2, I = 31

Structural model:
a b c (Å): 4.4319 4.4704 6.0046
angles (deg): 70.77 73.34 77.51
Element x y z (fractional)
Tb 0.0000 0.0000 0.0000
H 0.1119 0.6834 0.7310
H 0.2296 0.2171 0.5538
H 0.3127 0.8768 0.2903
H 0.4155 0.2974 0.0339
H 0.5845 0.7026 0.9661
H 0.6873 0.1232 0.7097
H 0.7704 0.7829 0.4462
H 0.8881 0.3166 0.2690
Ir 0.0000 0.0000 0.5000
Pd 0.4598 0.4771 0.2525
Pd 0.5402 0.5229 0.7475

---

[4]
Starting from a cell relaxed with PBE, the powder XRD pattern of ZnAs4Cl was calculated for Cu Ka.
Peak positions follow from Bragg's law for the DFT cell and can differ from measured ones.

Largest 6 diffraction maxima, in order of rising 2θ, 2θ = 5–70°:
d = 4.835 Å, 2θ 18.4, I = 33
d = 4.187 Å, 2θ 21.2, I = 27
d = 2.961 Å, 2θ 30.2, I = 30
d = 2.525 Å, 2θ 35.6, I = 100
d = 2.417 Å, 2θ 37.2, I = 56
d = 1.612 Å, 2θ 57.2, I = 57

Structural model:
a b c (Å): 5.9211 5.9211 5.9211
angles (deg): 60.00 60.00 60.00
Element x y z (fractional)
Zn 0.0000 0.0000 0.0000
As 0.1845 0.6052 0.6052
As 0.6052 0.1845 0.6052
As 0.6052 0.6052 0.1845
As 0.6052 0.6052 0.6052
Cl 0.2500 0.2500 0.2500

---

[5]
Starting from a cell relaxed with PBE, the powder XRD pattern of Dy4Al12Fe was calculated for Cu Ka.
Peak positions follow from Bragg's law for the DFT cell and can differ from measured ones.

Largest 6 diffraction maxima, in order of rising 2θ, 2θ = 5–70°:
d = 4.301 Å, 2θ 20.7, I = 71
d = 3.041 Å, 2θ 29.4, I = 100
d = 2.483 Å, 2θ 36.2, I = 86
d = 2.150 Å, 2θ 42.0, I = 54
d = 1.923 Å, 2θ 47.3, I = 36
d = 1.756 Å, 2θ 52.1, I = 39

Structural model:
a b c (Å): 7.4492 7.4492 7.4492
angles (deg): 109.47 109.47 109.47
Element x y z (fractional)
Dy 0.0000 0.0000 0.5000
Dy 0.0000 0.5000 0.0000
Dy 0.5000 0.0000 0.0000
Dy 0.5000 0.5000 0.5000
Al 0.0000 0.2797 0.2797
Al 0.0000 0.7203 0.7203
Al 0.2500 0.5000 0.7500
Al 0.2500 0.7500 0.5000
Al 0.2797 0.0000 0.2797
Al 0.2797 0.2797 0.0000
Al 0.5000 0.2500 0.7500
Al 0.5000 0.7500 0.2500
Al 0.7203 0.0000 0.7203
Al 0.7203 0.7203 0.0000
Al 0.7500 0.2500 0.5000
Al 0.7500 0.5000 0.2500
Fe 0.0000 0.0000 0.0000

---

[6]
Starting from a cell relaxed with PBE, the powder XRD pattern of Nd2Er3Hg4 was calculated for Cu Ka.
Peak positions follow from Bragg's law for the DFT cell and can differ from measured ones.

Largest 6 diffraction maxima, in order of rising 2θ, 2θ = 5–70°:
d = 3.016 Å, 2θ 29.6, I = 54
d = 2.955 Å, 2θ 30.2, I = 57
d = 2.653 Å, 2θ 33.8, I = 100
d = 2.604 Å, 2θ 34.4, I = 42
d = 2.399 Å, 2θ 37.5, I = 43
d = 1.515 Å, 2θ 61.2, I = 30

Structural model:
a b c (Å): 9.5524 9.5524 8.1727
angles (deg): 90.00 90.00 137.16
Element x y z (fractional)
Nd 0.0957 0.9043 0.9090
Nd 0.4043 0.5957 0.4090
Nd 0.5957 0.4043 0.5910
Nd 0.9043 0.0957 0.0910
Er 0.0000 0.0000 0.5000
Er 0.0114 0.4886 0.7500
Er 0.4886 0.0114 0.2500
Er 0.5000 0.5000 0.0000
Er 0.5114 0.9886 0.7500
Er 0.9886 0.5114 0.2500
Hg 0.1690 0.8310 0.5278
Hg 0.1845 0.3155 0.7500
Hg 0.3155 0.1845 0.2500
Hg 0.3310 0.6690 0.0278
Hg 0.6690 0.3310 0.9722
Hg 0.6845 0.8155 0.7500
Hg 0.8155 0.6845 0.2500
Hg 0.8310 0.1690 0.4722

---

[7]
Starting from a cell relaxed with PBE, the powder XRD pattern of Na4TlGa was calculated for Cu Ka.
Peak positions follow from Bragg's law for the DFT cell and can differ from measured ones.

Largest 6 diffraction maxima, in order of rising 2θ, 2θ = 5–70°:
d = 4.924 Å, 2θ 18.0, I = 99
d = 4.502 Å, 2θ 19.7, I = 57
d = 4.473 Å, 2θ 19.8, I = 62
d = 2.894 Å, 2θ 30.9, I = 100
d = 2.792 Å, 2θ 32.1, I = 49
d = 2.704 Å, 2θ 33.1, I = 68

Structural model:
a b c (Å): 5.9181 5.9181 12.7366
angles (deg): 94.36 94.36 129.57
Element x y z (fractional)
Na 0.0301 0.7127 0.7353
Na 0.1550 0.8450 0.0000
Na 0.2873 0.9699 0.2647
Na 0.3138 0.3138 0.5993
Na 0.6862 0.6862 0.4007
Na 0.7127 0.0301 0.7353
Na 0.8450 0.1550 0.0000
Na 0.9699 0.2873 0.2647
Tl 0.4383 0.4383 0.8707
Tl 0.5617 0.5617 0.1293
Ga 0.2353 0.7647 0.5000
Ga 0.7647 0.2353 0.5000

---

[8]
Starting from a cell relaxed with PBE, the powder XRD pattern of Ho4CuSe2S was calculated for Cu Ka.
Peak positions follow from Bragg's law for the DFT cell and can differ from measured ones.

Largest 6 diffraction maxima, in order of rising 2θ, 2θ = 5–70°:
d = 3.325 Å, 2θ 26.8, I = 26
d = 3.226 Å, 2θ 27.6, I = 25
d = 2.850 Å, 2θ 31.4, I = 51
d = 2.829 Å, 2θ 31.6, I = 100
d = 2.008 Å, 2θ 45.2, I = 74
d = 1.663 Å, 2θ 55.3, I = 19

Structural model:
a b c (Å): 7.0126 3.9139 7.0228
angles (deg): 90.00 108.62 90.00
Element x y z (fractional)
Ho 0.2412 0.0000 0.2333
Ho 0.2552 0.5000 0.7649
Ho 0.7448 0.5000 0.2351
Ho 0.7588 0.0000 0.7667
Cu 0.0000 0.5000 0.0000
Se 0.0000 0.0000 0.5000
Se 0.5000 0.5000 0.5000
S 0.5000 0.0000 0.0000

---

[9]
Starting from a cell relaxed with PBE, the powder XRD pattern of Eu2Ga4Tc was calculated for Cu Ka.
Peak positions follow from Bragg's law for the DFT cell and can differ from measured ones.

Largest 6 diffraction maxima, in order of rising 2θ, 2θ = 5–70°:
d = 3.508 Å, 2θ 25.4, I = 57
d = 3.390 Å, 2θ 26.3, I = 86
d = 2.574 Å, 2θ 34.9, I = 40
d = 2.547 Å, 2θ 35.2, I = 86
d = 2.397 Å, 2θ 37.5, I = 100
d = 1.754 Å, 2θ 52.1, I = 49

Structural model:
a b c (Å): 8.4338 8.4338 8.4338
angles (deg): 146.98 146.98 47.40
Element x y z (fractional)
Eu 0.1409 0.1409 0.0000
Eu 0.8591 0.8591 0.0000
Ga 0.0000 0.5000 0.5000
Ga 0.3395 0.3395 0.0000
Ga 0.5000 0.0000 0.5000
Ga 0.6605 0.6605 0.0000
Tc 0.5000 0.5000 0.0000

---

[10]
Starting from a cell relaxed with PBE, the powder XRD pattern of HfCuReOs was calculated for Cu Ka.
Peak positions follow from Bragg's law for the DFT cell and can differ from measured ones.

Largest 6 diffraction maxima, in order of rising 2θ, 2θ = 5–70°:
d = 2.278 Å, 2θ 39.6, I = 100
d = 2.032 Å, 2θ 44.6, I = 18
d = 1.952 Å, 2θ 46.5, I = 16
d = 1.939 Å, 2θ 46.9, I = 15
d = 1.408 Å, 2θ 66.4, I = 11
d = 1.403 Å, 2θ 66.7, I = 11

Structural model:
a b c (Å): 3.8775 3.9042 4.0636
angles (deg): 90.00 90.00 90.00
Element x y z (fractional)
Hf 0.0000 0.0000 0.0000
Cu 0.5000 0.5000 0.0000
Re 0.5000 0.0000 0.5000
Os 0.0000 0.5000 0.5000

---

[11]
Starting from a cell relaxed with PBE, the powder XRD pattern of CsErCrBr6 was calculated for Cu Ka.
Peak positions follow from Bragg's law for the DFT cell and can differ from measured ones.

Largest 6 diffraction maxima, in order of rising 2θ, 2θ = 5–70°:
d = 8.222 Å, 2θ 10.8, I = 49
d = 4.929 Å, 2θ 18.0, I = 100
d = 3.263 Å, 2θ 27.3, I = 65
d = 2.689 Å, 2θ 33.3, I = 96
d = 2.240 Å, 2θ 40.3, I = 31
d = 2.053 Å, 2θ 44.1, I = 38

Structural model:
a b c (Å): 7.1107 7.1107 8.2218
angles (deg): 90.00 90.00 120.00
Element x y z (fractional)
Cs 0.0000 0.0000 0.0000
Er 0.6667 0.3333 0.5000
Cr 0.3333 0.6667 0.5000
Br 0.0112 0.3800 0.6917
Br 0.0112 0.6312 0.3083
Br 0.3688 0.3800 0.3083
Br 0.3688 0.9888 0.6917
Br 0.6200 0.6312 0.6917
Br 0.6200 0.9888 0.3083

---

[12]
Starting from a cell relaxed with PBE, the powder XRD pattern of Be3Se was calculated for Cu Ka.
Peak positions follow from Bragg's law for the DFT cell and can differ from measured ones.

Largest 6 diffraction maxima, in order of rising 2θ, 2θ = 5–70°:
d = 5.156 Å, 2θ 17.2, I = 36
d = 3.303 Å, 2θ 27.0, I = 100
d = 3.277 Å, 2θ 27.2, I = 26
d = 2.996 Å, 2θ 29.8, I = 31
d = 2.563 Å, 2θ 35.0, I = 32
d = 2.211 Å, 2θ 40.8, I = 27

Structural model:
a b c (Å): 5.3086 5.3086 4.3007
angles (deg): 90.00 90.00 103.76
Element x y z (fractional)
Be 0.0542 0.9458 0.7500
Be 0.2791 0.2791 0.0000
Be 0.2791 0.2791 0.5000
Be 0.7209 0.7209 0.0000
Be 0.7209 0.7209 0.5000
Be 0.9458 0.0542 0.2500
Se 0.3325 0.6675 0.7500
Se 0.6675 0.3325 0.2500

---

[13]
Starting from a cell relaxed with PBE, the powder XRD pattern of Tb12CdPd6 was calculated for Cu Ka.
Peak positions follow from Bragg's law for the DFT cell and can differ from measured ones.

Largest 6 diffraction maxima, in order of rising 2θ, 2θ = 5–70°:
d = 3.161 Å, 2θ 28.2, I = 15
d = 2.886 Å, 2θ 31.0, I = 24
d = 2.672 Å, 2θ 33.5, I = 100
d = 1.960 Å, 2θ 46.3, I = 17
d = 1.714 Å, 2θ 53.4, I = 21
d = 1.622 Å, 2θ 56.8, I = 28

Structural model:
a b c (Å): 8.6567 8.6567 8.6567
angles (deg): 109.47 109.47 109.47
Element x y z (fractional)
Tb 0.1138 0.2967 0.8170
Tb 0.1830 0.4797 0.2967
Tb 0.1830 0.8862 0.7033
Tb 0.2967 0.1830 0.4797
Tb 0.2967 0.8170 0.1138
Tb 0.4797 0.2967 0.1830
Tb 0.5203 0.7033 0.8170
Tb 0.7033 0.1830 0.8862
Tb 0.7033 0.8170 0.5203
Tb 0.8170 0.1138 0.2967
Tb 0.8170 0.5203 0.7033
Tb 0.8862 0.7033 0.1830
Cd 0.0000 0.0000 0.0000
Pd 0.1364 0.5000 0.6364
Pd 0.3636 0.8636 0.5000
Pd 0.5000 0.3636 0.8636
Pd 0.5000 0.6364 0.1364
Pd 0.6364 0.1364 0.5000
Pd 0.8636 0.5000 0.3636